Theoretical X-ray diffraction stick pattern
Compound: BeF2
Radiation: Cu Kα
Structure: a DFT-relaxed cell (GGA-PBE, Alexandria)

a b c (Å): 4.8020 4.8020 5.2541
angles (deg): 90.00 90.00 120.00
Space group P3_121 (No. 152)
Inequivalent atoms, fractional coordinates:
Be: 0.0000 0.5285 0.1667 [3 per cell]
F: 0.1509 0.4159 0.3779 [6 per cell]

The 10 most intense peaks (2θ = 10–80°), low angle first:
- (1 0 0), 2θ = 21.37°, rel. 18
- (0 1 1), 2θ = 27.35°, rel. 100
- (1 1 0), 2θ = 37.46°, rel. 20
- (0 1 2), 2θ = 40.62°, rel. 33
- (1 1 1), 2θ = 41.34°, rel. 34
- (2 0 1), 2θ = 47.00°, rel. 23
- (1 1 2), 2θ = 51.57°, rel. 14
- (0 2 2), 2θ = 56.44°, rel. 10
- (1 2 1), 2θ = 61.59°, rel. 9
- (2 0 3), 2θ = 70.25°, rel. 11

=====

Theoretical X-ray diffraction stick pattern
Compound: BeF3
Radiation: Cu Kα
Structure: a DFT-relaxed cell (GGA-PBE, Alexandria)

a b c (Å): 2.455 8.236 4.090
angles (deg): 90.00 90.00 90.00
Space group Imm2 (No. 44)
Inequivalent atoms, fractional coordinates:
Be: 0.000 0.000 0.000 [2 per cell]
F: 0.000 0.363 0.603 [4 per cell]
F: 0.000 0.500 0.145 [2 per cell]

The 10 most intense peaks (2θ = 10–80°), low angle first:
- (0 2 0), 2θ = 21.58°, rel. 53
- (0 1 1), 2θ = 24.30°, rel. 41
- (1 1 0), 2θ = 38.25°, rel. 74
- (0 3 1), 2θ = 39.54°, rel. 100
- (0 0 2), 2θ = 44.30°, rel. 49
- (1 2 1), 2θ = 48.57°, rel. 37
- (1 3 0), 2θ = 49.81°, rel. 11
- (1 1 2), 2θ = 59.93°, rel. 35
- (1 4 1), 2θ = 63.17°, rel. 57
- (0 3 3), 2θ = 78.31°, rel. 10

=====

Theoretical X-ray diffraction stick pattern
Compound: BeF2
Radiation: Cu Kα
Structure: a DFT-relaxed cell (GGA-PBE, Alexandria)

a b c (Å): 13.2019 13.2019 14.3154
angles (deg): 90.00 90.00 120.00
Space group R-3m (No. 166, hexagonal axes)
Inequivalent atoms, fractional coordinates:
Be: 0.9997 0.2283 0.3948 [36 per cell]
F: 0.0000 0.2605 0.5000 [18 per cell]
F: 0.0000 0.3524 0.0000 [18 per cell]
F: 0.0940 0.5470 0.2976 [18 per cell]
F: 0.0995 0.1990 0.3777 [18 per cell]

The 10 most intense peaks (2θ = 10–80°), low angle first:
- (1 1 0), 2θ = 13.41°, rel. 100
- (0 2 1), 2θ = 16.70°, rel. 33
- (0 0 3), 2θ = 18.59°, rel. 47
- (2 1 1), 2θ = 21.48°, rel. 77
- (1 0 4), 2θ = 26.09°, rel. 26
- (2 2 0), 2θ = 27.02°, rel. 20
- (4 0 1), 2θ = 31.93°, rel. 24
- (3 3 0), 2θ = 41.02°, rel. 24
- (0 4 5), 2θ = 44.81°, rel. 21
- (3 3 3), 2θ = 45.39°, rel. 34

=====

Theoretical X-ray diffraction stick pattern
Compound: BeGa2F2
Radiation: Cu Kα
Structure: a DFT-relaxed cell (GGA-PBE, Alexandria)

a b c (Å): 5.875 5.875 5.551
angles (deg): 90.00 90.00 90.00
Space group I4/mmm (No. 139)
Inequivalent atoms, fractional coordinates:
Be: 0.000 0.000 0.000 [2 per cell]
Ga: 0.000 0.500 0.250 [4 per cell]
F: 0.000 0.000 0.257 [4 per cell]

The 10 most intense peaks (2θ = 10–80°), low angle first:
- (1 1 0), 2θ = 21.39°, rel. 61
- (2 0 0), 2θ = 30.43°, rel. 100
- (0 0 2), 2θ = 32.26°, rel. 37
- (1 1 2), 2θ = 39.03°, rel. 35
- (2 2 0), 2θ = 43.57°, rel. 36
- (2 0 2), 2θ = 44.93°, rel. 57
- (3 1 0), 2θ = 49.03°, rel. 15
- (2 2 2), 2θ = 55.24°, rel. 29
- (3 1 2), 2θ = 59.91°, rel. 21
- (4 2 0), 2θ = 71.87°, rel. 14

=====

Theoretical X-ray diffraction stick pattern
Compound: Be2GaF6
Radiation: Cu Kα
Structure: a DFT-relaxed cell (GGA-PBE, Alexandria)

a b c (Å): 11.101 8.859 4.902
angles (deg): 90.00 115.85 90.00
Space group C2/c (No. 15)
Inequivalent atoms, fractional coordinates:
Be: 0.172 0.094 0.110 [8 per cell]
Ga: 0.000 0.385 0.750 [4 per cell]
F: 0.083 0.240 0.072 [8 per cell]
F: 0.138 0.029 0.791 [8 per cell]
F: 0.176 0.369 0.715 [8 per cell]

The 10 most intense peaks (2θ = 10–80°), low angle first:
- (1 1 0), 2θ = 13.36°, rel. 34
- (2 0 0), 2θ = 17.76°, rel. 26
- (1 1 -1), 2θ = 20.71°, rel. 59
- (3 1 -1), 2θ = 27.48°, rel. 20
- (0 2 1), 2θ = 28.58°, rel. 100
- (1 3 0), 2θ = 31.59°, rel. 21
- (1 3 -1), 2θ = 35.49°, rel. 23
- (4 2 -1), 2θ = 38.57°, rel. 18
- (1 3 1), 2θ = 39.90°, rel. 25
- (5 1 -1), 2θ = 41.96°, rel. 17

=====

Theoretical X-ray diffraction stick pattern
Compound: Rb2BeGaF6
Radiation: Cu Kα
Structure: a DFT-relaxed cell (GGA-PBE, Alexandria)

a b c (Å): 5.691 5.691 8.962
angles (deg): 90.00 90.00 90.00
Space group I4/mmm (No. 139)
Inequivalent atoms, fractional coordinates:
Rb: 0.000 0.500 0.250 [4 per cell]
Be: 0.000 0.000 0.000 [2 per cell]
Ga: 0.000 0.000 0.500 [2 per cell]
F: 0.000 0.000 0.272 [4 per cell]
F: 0.211 0.211 0.000 [8 per cell]

The 10 most intense peaks (2θ = 10–80°), low angle first:
- (1 0 1), 2θ = 18.47°, rel. 18
- (1 1 2), 2θ = 29.84°, rel. 100
- (2 0 0), 2θ = 31.44°, rel. 45
- (2 1 1), 2θ = 36.71°, rel. 19
- (2 0 2), 2θ = 37.44°, rel. 45
- (0 0 4), 2θ = 40.25°, rel. 30
- (2 2 0), 2θ = 45.06°, rel. 40
- (2 0 4), 2θ = 51.95°, rel. 21
- (3 1 2), 2θ = 54.99°, rel. 31
- (2 2 4), 2θ = 61.99°, rel. 27

=====

Theoretical X-ray diffraction stick pattern
Compound: BeGeF
Radiation: Cu Kα
Structure: a DFT-relaxed cell (GGA-PBE, Alexandria)

a b c (Å): 7.476 4.422 5.841
angles (deg): 90.00 115.45 90.00
Space group C2 (No. 5)
Inequivalent atoms, fractional coordinates:
Be: 0.133 0.000 0.484 [4 per cell]
Ge: 0.144 0.920 0.923 [4 per cell]
F: 0.173 0.341 0.467 [4 per cell]

The 10 most intense peaks (2θ = 10–80°), low angle first:
- (0 0 1), 2θ = 16.81°, rel. 65
- (1 1 0), 2θ = 24.06°, rel. 69
- (1 1 1), 2θ = 32.68°, rel. 100
- (2 0 -2), 2θ = 32.91°, rel. 67
- (0 0 2), 2θ = 33.99°, rel. 35
- (0 2 0), 2θ = 40.82°, rel. 37
- (3 1 -1), 2θ = 41.60°, rel. 67
- (3 1 0), 2θ = 45.16°, rel. 45
- (1 1 2), 2θ = 46.78°, rel. 28
- (2 2 -2), 2θ = 53.39°, rel. 27

=====

Theoretical X-ray diffraction stick pattern
Compound: LiBeH4NF4
Radiation: Cu Kα
Structure: a DFT-relaxed cell (GGA-PBE, Alexandria)

a b c (Å): 9.543 5.146 9.049
angles (deg): 90.00 90.00 90.00
Space group Pca2_1 (No. 29)
Inequivalent atoms, fractional coordinates:
Li: 0.100 0.108 0.000 [4 per cell]
Be: 0.100 0.107 0.624 [4 per cell]
H: 0.145 0.655 0.224 [4 per cell]
H: 0.168 0.668 0.413 [4 per cell]
H: 0.201 0.745 0.796 [4 per cell]
H: 0.249 0.433 0.311 [4 per cell]
N: 0.215 0.622 0.312 [4 per cell]
F: 0.046 0.771 0.082 [4 per cell]
F: 0.087 0.818 0.565 [4 per cell]
F: 0.119 0.102 0.796 [4 per cell]
F: 0.229 0.244 0.557 [4 per cell]

The 10 most intense peaks (2θ = 10–80°), low angle first:
- (0 1 0), 2θ = 17.23°, rel. 31
- (0 0 2), 2θ = 19.62°, rel. 41
- (2 0 1), 2θ = 21.05°, rel. 35
- (1 1 1), 2θ = 21.94°, rel. 42
- (2 1 0), 2θ = 25.46°, rel. 20
- (2 0 2), 2θ = 27.16°, rel. 22
- (2 1 1), 2θ = 27.33°, rel. 51
- (3 1 2), 2θ = 38.78°, rel. 100
- (0 0 4), 2θ = 39.85°, rel. 47
- (0 2 2), 2θ = 40.32°, rel. 34

=====

Theoretical X-ray diffraction stick pattern
Compound: LiBeH5N2F4
Radiation: Cu Kα
Structure: a DFT-relaxed cell (GGA-PBE, Alexandria)

a b c (Å): 10.128 8.912 5.130
angles (deg): 90.00 90.00 90.00
Space group Pna2_1 (No. 33)
Inequivalent atoms, fractional coordinates:
Li: 0.151 0.124 0.000 [4 per cell]
Be: 0.183 0.928 0.494 [4 per cell]
H: 0.012 0.470 0.685 [4 per cell]
H: 0.046 0.787 0.153 [4 per cell]
H: 0.062 0.765 0.827 [4 per cell]
H: 0.116 0.378 0.487 [4 per cell]
H: 0.163 0.672 0.037 [4 per cell]
N: 0.021 0.418 0.503 [4 per cell]
N: 0.066 0.710 0.007 [4 per cell]
F: 0.037 0.860 0.529 [4 per cell]
F: 0.194 0.081 0.646 [4 per cell]
F: 0.205 0.960 0.200 [4 per cell]
F: 0.222 0.308 0.103 [4 per cell]

The 10 most intense peaks (2θ = 10–80°), low angle first:
- (1 1 1), 2θ = 21.82°, rel. 38
- (2 2 0), 2θ = 26.67°, rel. 28
- (1 2 1), 2θ = 27.95°, rel. 100
- (3 1 0), 2θ = 28.27°, rel. 48
- (0 0 2), 2θ = 34.95°, rel. 70
- (1 3 1), 2θ = 36.05°, rel. 36
- (4 1 0), 2θ = 36.90°, rel. 25
- (3 2 1), 2θ = 37.75°, rel. 49
- (2 0 2), 2θ = 39.34°, rel. 65
- (1 2 3), 2θ = 58.52°, rel. 20